Theoretical powder diffraction line list
Compound: AlAg
Radiation: λ = 1.5418 Å (Cu Kα)
Structure: DFT lattice parameters and positions (GGA-PBE)

Principal peaks in the range 10° ≤ 2θ ≤ 80°, in order of falling intensity:
2θ/deg  I/Imax
37.8  100
44.3  62
39.1  35
77.2  23
63.6  20
65.3  17
19.3  16
76.4  12
36.0  11
78.8  11

Crystal structure
```
AlAg
1.0
1.463 0.845 18.443
-1.463 0.845 18.443
0.000 -1.689 18.443
Al Ag
4 4
Direct
0.000 0.000 0.000
0.124 0.124 0.124
0.375 0.375 0.375
0.625 0.625 0.625
0.252 0.252 0.252
0.497 0.497 0.497
0.749 0.749 0.749
0.874 0.874 0.874
```